For K2SeCl4, DFT lattice parameters and positions (PBE) gives the computed XRD peak list in this record (Cu Kα (weighted mean of Kα1 and Kα2)).
Intensities are scaled so that the largest is 1000.

```
K2SeCl4
1.0
-3.634 3.634 4.221
3.634 -3.634 4.221
3.634 3.634 -4.221
K Se Cl
2 1 4
Direct
0.250 0.750 0.500
0.750 0.250 0.500
0.000 0.000 0.000
0.240 0.240 0.481
0.240 0.760 0.000
0.760 0.240 0.000
0.760 0.760 0.519
```

Principal peaks in the range 10 to 90 degrees two-theta, low angle first:
two_theta  I/Imax
16.09  1000
21.05  366
27.34  929
29.44  288
32.51  464
34.91  819
42.85  220
44.90  429
50.21  257
56.42  355


For Rb5Te2N2, DFT lattice parameters and positions (PBE) gives the computed XRD peak list in this record (Cu Kα (weighted mean of Kα1 and Kα2)).
Intensities are scaled so that the largest is 1000.

```
Rb5Te2N2
1.0
10.135 -3.153 0.000
10.135 3.153 0.000
-1.928 0.000 7.029
Rb Te N
5 2 2
Direct
0.000 0.000 0.000
0.222 0.222 0.791
0.370 0.370 0.570
0.630 0.630 0.430
0.778 0.778 0.209
0.184 0.184 0.249
0.816 0.816 0.751
0.488 0.488 0.918
0.512 0.512 0.082
```

Principal peaks in the range 10 to 90 degrees two-theta, low angle first:
two_theta  I/Imax
13.43  476
24.79  277
26.83  591
28.31  530
29.16  1000
34.35  313
35.11  214
37.97  192
41.11  224
49.23  212


For Ho6CuSe5, DFT lattice parameters and positions (PBE) gives the computed XRD peak list in this record (Cu Kα (weighted mean of Kα1 and Kα2)).
Intensities are scaled so that the largest is 1000.

```
Ho6CuSe5
1.0
3.524 -6.091 0.000
3.524 6.091 0.000
-2.352 0.000 6.631
Ho Cu Se
6 1 5
Direct
0.079 0.398 0.739
0.237 0.237 0.257
0.398 0.079 0.739
0.602 0.921 0.261
0.763 0.763 0.743
0.921 0.602 0.261
0.000 0.000 0.500
0.175 0.825 0.000
0.335 0.665 0.500
0.500 0.500 0.000
0.665 0.335 0.500
0.825 0.175 0.000
```

Principal peaks in the range 10 to 90 degrees two-theta, low angle first:
two_theta  I/Imax
26.88  174
31.12  1000
44.60  727
52.82  70
55.37  187
55.42  63
64.90  114
73.68  155
73.77  153
82.19  133


For Zr5Sn3As, DFT lattice parameters and positions (PBE) gives the computed XRD peak list in this record (Cu Kα (weighted mean of Kα1 and Kα2)).
Intensities are scaled so that the largest is 1000.

```
Zr5Sn3As
1.0
8.698 0.000 0.000
-4.349 7.533 0.000
0.000 0.000 5.960
Zr Sn As
10 6 2
Direct
0.000 0.261 0.250
0.000 0.739 0.750
0.261 0.000 0.250
0.261 0.261 0.750
0.333 0.667 0.000
0.333 0.667 0.500
0.667 0.333 0.000
0.667 0.333 0.500
0.739 0.000 0.750
0.739 0.739 0.250
0.000 0.395 0.750
0.000 0.605 0.250
0.395 0.000 0.750
0.395 0.395 0.250
0.605 0.000 0.250
0.605 0.605 0.750
0.000 0.000 0.000
0.000 0.000 0.500
```

Principal peaks in the range 10 to 90 degrees two-theta, low angle first:
two_theta  I/Imax
29.99  144
34.93  854
35.76  708
36.56  1000
46.04  276
52.07  204
56.49  213
64.77  217
67.67  127
73.98  168


For RbTc3Pt, DFT lattice parameters and positions (PBE) gives the computed XRD peak list in this record (Cu Kα (weighted mean of Kα1 and Kα2)).
Intensities are scaled so that the largest is 1000.

```
RbTc3Pt
1.0
5.021 0.000 0.000
0.000 5.021 0.000
0.000 0.000 5.021
Rb Tc Pt
1 3 1
Direct
0.000 0.000 0.000
0.000 0.500 0.500
0.500 0.000 0.500
0.500 0.500 0.000
0.500 0.500 0.500
```

Principal peaks in the range 10 to 90 degrees two-theta, low angle first:
two_theta  I/Imax
17.67  720
25.08  461
30.85  235
35.77  1000
40.16  367
44.19  209
51.48  700
54.86  187
64.27  237
86.74  317